Starting from a cell relaxed with PBE, the powder XRD pattern of NaTlAsBr2 was simulated for Cu Kα.
No peak broadening, texture or thermal motion is included.

Structural model:
abc: 6.0389 6.0389 5.4397
angles: 90.00 90.00 90.00
Space group P4/mmm (No. 123)
One atom of each set of equivalent atoms:
Na 0.0000 0.0000 0.0000 [1 per cell]
Tl 0.5000 0.5000 0.5000 [1 per cell]
As 0.5000 0.5000 0.0000 [1 per cell]
Br 0.0000 0.5000 0.5000 [2 per cell]

Largest 12 diffraction maxima, by angle, 2θ from 15° to 90°:
- 16.3°, intensity 65, hkl 0 0 1
- 22.0°, intensity 40, hkl 1 0 1
- 29.6°, intensity 100, hkl 2 0 0
- 32.9°, intensity 38, hkl 0 0 2
- 33.2°, intensity 43, hkl 2 1 0
- 34.0°, intensity 44, hkl 2 0 1
- 36.2°, intensity 34, hkl 1 0 2
- 42.3°, intensity 37, hkl 2 2 0
- 44.9°, intensity 63, hkl 2 0 2
- 47.4°, intensity 32, hkl 2 1 2
- 54.6°, intensity 35, hkl 2 2 2
- 79.2°, intensity 24, hkl 4 2 2

Starting from a cell relaxed with PBE, the powder XRD pattern of Cs2Tb2TeO6 was simulated for Cu Kα.
No peak broadening, texture or thermal motion is included.

Structural model:
abc: 6.0612 10.4643 7.2985
angles: 90.00 105.47 90.00
Space group C2/m (No. 12)
One atom of each set of equivalent atoms:
Cs 0.0000 0.1661 0.0000 [4 per cell]
Tb 0.0000 0.3345 0.5000 [4 per cell]
Te 0.0000 0.0000 0.5000 [2 per cell]
O 0.2112 0.1640 0.6575 [8 per cell]
O 0.2313 0.5000 0.6575 [4 per cell]

Largest 12 diffraction maxima, by angle, 2θ from 15° to 90°:
- 19.0°, intensity 19, hkl 1 1 -1
- 25.3°, intensity 78, hkl 0 0 2
- 30.6°, intensity 46, hkl 2 0 0
- 30.8°, intensity 79, hkl 1 3 -1
- 34.1°, intensity 100, hkl 1 3 1
- 34.3°, intensity 51, hkl 2 0 -2
- 45.3°, intensity 18, hkl 2 0 2
- 45.8°, intensity 38, hkl 1 3 -3
- 52.3°, intensity 30, hkl 3 3 -1
- 52.8°, intensity 27, hkl 1 3 3
- 58.8°, intensity 15, hkl 3 3 1
- 62.0°, intensity 17, hkl 2 6 0

Starting from a cell relaxed with PBE, the powder XRD pattern of Sr3LiPd8 was simulated for Cu Kα.
No peak broadening, texture or thermal motion is included.

Structural model:
abc: 5.5340 5.5340 27.0285
angles: 90.00 90.00 120.00
Space group R3m (No. 160, hexagonal axes)
One atom of each set of equivalent atoms:
Sr 0.0000 0.0000 0.0000 [3 per cell]
Sr 0.0000 0.0000 0.1286 [3 per cell]
Sr 0.0000 0.0000 0.6159 [3 per cell]
Li 0.0000 0.0000 0.4911 [3 per cell]
Pd 0.0000 0.0000 0.3114 [3 per cell]
Pd 0.0000 0.0000 0.8116 [3 per cell]
Pd 0.0007 0.5004 0.0624 [9 per cell]
Pd 0.0010 0.5005 0.5606 [9 per cell]

Largest 12 diffraction maxima, by angle, 2θ from 15° to 90°:
- 19.7°, intensity 30, hkl 0 0 6
- 32.4°, intensity 14, hkl 1 1 0
- 38.2°, intensity 100, hkl 2 0 2
- 39.9°, intensity 44, hkl 0 2 4
- 40.0°, intensity 13, hkl 0 0 12
- 46.5°, intensity 13, hkl 2 0 8
- 61.6°, intensity 24, hkl 2 1 10
- 61.7°, intensity 7, hkl 0 0 18
- 67.7°, intensity 15, hkl 2 2 0
- 67.9°, intensity 14, hkl 0 2 16
- 80.5°, intensity 9, hkl 1 3 10
- 81.7°, intensity 15, hkl 4 0 4